(1)
This entry pairs a crystal structure of NaNdCd14 with its computed X-ray powder pattern. Radiation: a wavelength of 1.5418 Å. Structure: a DFT-relaxed cell (GGA-PBE, Alexandria).
Lines closer than 0.1° are merged.

Top 8 peaks for 2θ = 10–80°, in order of falling intensity:
| two_theta | I/Imax |
| --- | --- |
| 34.11 | 100 |
| 38.54 | 36 |
| 66.90 | 26 |
| 58.01 | 20 |
| 41.62 | 14 |
| 55.65 | 12 |
| 71.82 | 11 |
| 71.15 | 10 |

Structure:
```
data_NaNdCd14
_chemical_formula_sum 'Na1 Nd1 Cd14'
_symmetry_space_group_name_H-M 'P 4/m m m'
_symmetry_Int_Tables_number 123
_symmetry_space_group_name_Hall '-P 4 2'
_cell_length_a 6.6069
_cell_length_b 6.6069
_cell_length_c 8.6800
_cell_angle_alpha 90.00
_cell_angle_beta 90.00
_cell_angle_gamma 90.00
loop_
_atom_site_label
_atom_site_type_symbol
_atom_site_fract_x
_atom_site_fract_y
_atom_site_fract_z
Na1 Na 0.0000 0.0000 0.0000
Nd1 Nd 0.5000 0.5000 0.0000
Cd1 Cd 0.0000 0.0000 0.5000
Cd2 Cd 0.0000 0.5000 0.0000
Cd3 Cd 0.0000 0.5000 0.5000
Cd4 Cd 0.2461 0.2461 0.2605
Cd5 Cd 0.5000 0.5000 0.5000
```

***

(2)
This entry pairs a crystal structure of NaSrNdCd with its computed X-ray powder pattern. Radiation: a wavelength of 1.5418 Å. Structure: a DFT-relaxed cell (GGA-PBE, Alexandria).
Lines closer than 0.1° are merged.

Top 8 peaks for 2θ = 10–80°, in order of falling intensity:
| two_theta | I/Imax |
| --- | --- |
| 31.23 | 100 |
| 55.57 | 38 |
| 18.97 | 18 |
| 44.75 | 18 |
| 74.00 | 16 |
| 65.13 | 12 |
| 36.79 | 10 |
| 21.94 | 7 |

Structure:
```
data_NaSrNdCd
_chemical_formula_sum 'Na4 Sr4 Nd4 Cd4'
_symmetry_space_group_name_H-M 'F -4 3 m'
_symmetry_Int_Tables_number 216
_symmetry_space_group_name_Hall 'F -4 2 3'
_cell_length_a 8.1016
_cell_length_b 8.1016
_cell_length_c 8.1016
_cell_angle_alpha 90.00
_cell_angle_beta 90.00
_cell_angle_gamma 90.00
loop_
_atom_site_label
_atom_site_type_symbol
_atom_site_fract_x
_atom_site_fract_y
_atom_site_fract_z
Na1 Na 0.0000 0.0000 0.0000
Sr1 Sr 0.2500 0.2500 0.2500
Nd1 Nd 0.2500 0.2500 0.7500
Cd1 Cd 0.0000 0.0000 0.5000
```

***

(3)
This entry pairs a crystal structure of Na2NpCd3O6 with its computed X-ray powder pattern. Radiation: a wavelength of 1.5418 Å. Structure: a DFT-relaxed cell (GGA-PBE, Alexandria).
Lines closer than 0.1° are merged.

Top 8 peaks for 2θ = 10–80°, in order of falling intensity:
| two_theta | I/Imax |
| --- | --- |
| 32.06 | 100 |
| 37.33 | 88 |
| 37.67 | 40 |
| 18.06 | 40 |
| 20.49 | 36 |
| 32.94 | 31 |
| 53.49 | 30 |
| 23.77 | 28 |

Structure:
```
data_Na2NpCd3O6
_chemical_formula_sum 'Na4 Np2 Cd6 O12'
_symmetry_space_group_name_H-M 'C 1 2/m 1'
_symmetry_Int_Tables_number 12
_cell_length_a 5.9268
_cell_length_b 10.3220
_cell_length_c 5.7708
_cell_angle_alpha 90.00
_cell_angle_beta 109.53
_cell_angle_gamma 90.00
loop_
_symmetry_equiv_pos_as_xyz
'x,y,z'
'-x,-y,-z'
'-x,y,-z'
'x,-y,z'
'x+1/2,y+1/2,z'
'-x+1/2,-y+1/2,-z'
'-x+1/2,y+1/2,-z'
'x+1/2,-y+1/2,z'
loop_
_atom_site_label
_atom_site_type_symbol
_atom_site_fract_x
_atom_site_fract_y
_atom_site_fract_z
Na1 Na 0.0000 0.1665 0.0000
Np1 Np 0.0000 0.5000 0.0000
Cd1 Cd 0.0000 0.0000 0.5000
Cd2 Cd 0.0000 0.3241 0.5000
O1 O 0.2213 0.5000 0.7718
O2 O 0.2375 0.3454 0.2495
```